Structure and calculated XRD peak list of Nd2PuSn9 (a structure optimized by DFT (GGA-PBE); Cu Kα (weighted mean of Kα1 and Kα2)).

The 8 most intense peaks (2θ from 10° to 90°), sorted by position:
(hkl)  Position (°2θ)  intensity
1 1 2  31.3  100
2 0 -2  33.8  82
1 1 -4  35.8  70
2 0 4  41.6  25
0 2 0  48.1  16
3 1 0  56.0  39
2 2 -2  60.0  33
3 1 -6  64.5  26

```
data_Nd2PuSn9
_chemical_formula_sum 'Nd2 Pu1 Sn9'
_space_group_name_H-M_alt 'P 1'
_space_group_IT_number 1
_space_group_name_Hall 'P 1'
_cell_length_a 5.485
_cell_length_b 3.786
_cell_length_c 15.959
_cell_angle_alpha 90.00
_cell_angle_beta 94.66
_cell_angle_gamma 90.00
loop_
_atom_site_label
_atom_site_type_symbol
_atom_site_fract_x
_atom_site_fract_y
_atom_site_fract_z
Nd1 Nd 0.174 0.000 0.171
Nd2 Nd 0.826 0.000 0.829
Pu1 Pu 0.500 0.000 0.500
Sn1 Sn 0.000 0.500 0.000
Sn2 Sn 0.000 0.500 0.500
Sn3 Sn 0.171 0.000 0.664
Sn4 Sn 0.327 0.500 0.833
Sn5 Sn 0.335 0.500 0.337
Sn6 Sn 0.500 0.000 0.000
Sn7 Sn 0.665 0.500 0.663
Sn8 Sn 0.673 0.500 0.167
Sn9 Sn 0.829 0.000 0.336
```